Ce5TlSn3: simulated PXRD pattern (a wavelength of 1.5418 Å), based on a DFT-relaxed cell (PBE, Alexandria).
Lines closer than 0.1° are merged.

The 8 most intense peaks (2θ from 5° to 70°), low angle first:
Position (°2θ)	Rel. int.	h k l
31.65	20	2 1 1
32.42	96	3 0 0
33.08	100	1 1 2
47.00	33	2 2 2
55.97	9	0 0 4
57.84	13	3 3 0
58.25	33	4 1 2
66.18	26	3 0 4

Atomic structure:
```
Ce5TlSn3
1.0
9.565 0.000 0.000
-4.783 8.284 0.000
0.000 0.000 6.572
Ce Tl Sn
10 2 6
direct
0.000 0.295 0.250
0.000 0.705 0.750
0.295 0.000 0.250
0.295 0.295 0.750
0.333 0.667 0.000
0.333 0.667 0.500
0.667 0.333 0.000
0.667 0.333 0.500
0.705 0.000 0.750
0.705 0.705 0.250
0.000 0.000 0.000
0.000 0.000 0.500
0.000 0.366 0.750
0.000 0.634 0.250
0.366 0.000 0.750
0.366 0.366 0.250
0.634 0.000 0.250
0.634 0.634 0.750
```